# 1
Diffraction record for Pr5Y3Tm4. The powder X-ray diffraction pattern is calculated, not measured: it uses a crystal structure in Alexandria, relaxed with PBE and copper Kα.
Neutral-atom scattering factors, no anomalous dispersion.

Structural model:
```
data_Pr5Y3Tm4
_cell_length_a 12.494
_cell_length_b 5.710
_cell_length_c 11.547
_cell_angle_alpha 90.00
_cell_angle_beta 99.33
_cell_angle_gamma 90.00
_space_group_name_H-M_alt 'C 1 2/m 1'
_space_group_IT_number 12
_space_group_name_Hall '-C 2y'
loop_
_atom_site_label
_atom_site_fract_x
_atom_site_fract_y
_atom_site_fract_z
Pr1 0.000 0.000 0.000
Pr2 0.123 0.500 0.602
Pr3 0.161 0.500 0.275
Y1 0.000 0.500 0.000
Y2 0.072 0.000 0.766
Tm1 0.128 0.000 0.467
Tm2 0.243 0.500 0.899
```

Main lines, sorted by position (2θ from 10° to 90°):
(1 1 -3), 2θ = 28.17°, d = 3.168 Å, I = 20; (4 0 -1), 2θ = 28.75°, d = 3.105 Å, I = 12; (3 1 -2), 2θ = 29.19°, d = 3.059 Å, I = 55; (1 1 3), 2θ = 30.11°, d = 2.968 Å, I = 72; (0 2 0), 2θ = 31.31°, d = 2.857 Å, I = 100; (3 1 -3), 2θ = 33.34°, d = 2.688 Å, I = 14; (2 0 -5), 2θ = 39.89°, d = 2.260 Å, I = 14; (4 2 1), 2θ = 44.86°, d = 2.020 Å, I = 34; (3 3 -2), 2θ = 54.44°, d = 1.685 Å, I = 14; (1 3 3), 2θ = 55.01°, d = 1.669 Å, I = 13

# 2
Diffraction record for La4Pr3Nd5. The powder X-ray diffraction pattern is calculated, not measured: it uses a crystal structure in Alexandria, relaxed with PBE and copper Kα.
Neutral-atom scattering factors, no anomalous dispersion.

Structural model:
```
data_La4Pr3Nd5
_cell_length_a 6.434
_cell_length_b 7.399
_cell_length_c 9.106
_cell_angle_alpha 90.27
_cell_angle_beta 90.07
_cell_angle_gamma 90.09
_space_group_name_H-M_alt 'P -1'
_space_group_IT_number 2
_space_group_name_Hall '-P 1'
loop_
_atom_site_label
_atom_site_fract_x
_atom_site_fract_y
_atom_site_fract_z
La1 0.167 0.000 0.167
La2 0.333 0.251 0.832
Pr1 0.333 0.750 0.833
Pr2 0.500 0.500 0.500
Nd1 0.001 0.749 0.500
Nd2 0.166 0.500 0.168
Nd3 0.500 0.000 0.500
```

Main lines, sorted by position (2θ from 10° to 90°):
(2 0 1), 2θ = 29.46°, d = 3.032 Å, I = 100; (-1 2 1), 2θ = 29.54°, d = 3.023 Å, I = 33; (2 0 -2), 2θ = 34.12°, d = 2.628 Å, I = 45; (1 2 2), 2θ = 34.29°, d = 2.615 Å, I = 22; (2 0 4), 2θ = 49.03°, d = 1.858 Å, I = 24; (3 2 0), 2θ = 49.14°, d = 1.854 Å, I = 16; (4 0 -1), 2θ = 58.20°, d = 1.585 Å, I = 24; (0 4 -3), 2θ = 58.29°, d = 1.583 Å, I = 10; (3 2 3), 2θ = 58.39°, d = 1.580 Å, I = 14; (2 4 1), 2θ = 58.55°, d = 1.577 Å, I = 10